# 1
Starting from a structure optimized by DFT (PBE), the X-ray diffraction stick pattern of Li8Ag3Pd3 was computed for copper Kα.
Lines closer than 0.1° are merged.

Structure:
abc: 7.6279 7.6279 7.6279
angles: 145.69 114.07 76.47
Atoms (fractional coordinates):
Li (0.0457, 0.2018, 0.8439)
Li (0.0744, 0.4022, 0.6723)
Li (0.2701, 0.5978, 0.6723)
Li (0.3579, 0.2018, 0.1561)
Li (0.6421, 0.7982, 0.8439)
Li (0.7299, 0.4022, 0.3277)
Li (0.9256, 0.5978, 0.3277)
Li (0.9543, 0.7982, 0.1561)
Ag (0.3034, 0.8034, 0.5000)
Ag (0.5000, 0.5000, 0.0000)
Ag (0.6966, 0.1966, 0.5000)
Pd (0.0000, 0.0000, 0.0000)
Pd (0.3176, 0.0000, 0.3176)
Pd (0.6824, 0.0000, 0.6824)

Main lines, low angle first (2θ from 15° to 90°):
2θ (°), I (rel.)
21.1, 56
27.0, 70
29.8, 36
37.1, 41
40.1, 34
41.2, 100

# 2
Starting from a structure optimized by DFT (PBE), the X-ray diffraction stick pattern of Li4AgPd was computed for copper Kα.
Lines closer than 0.1° are merged.

Structure:
abc: 4.3748 4.3748 5.4830
angles: 90.11 90.11 60.05
Atoms (fractional coordinates):
Li (0.1665, 0.1665, 0.2396)
Li (0.1668, 0.1668, 0.7630)
Li (0.8332, 0.8332, 0.2370)
Li (0.8335, 0.8335, 0.7604)
Ag (0.5000, 0.5000, 0.5000)
Pd (0.5000, 0.5000, 0.0000)

Main lines, low angle first (2θ from 15° to 90°):
2θ (°), I (rel.)
23.5, 100
32.7, 13
40.6, 56
41.3, 29
48.0, 14
59.3, 15

# 3
Starting from a structure optimized by DFT (PBE), the X-ray diffraction stick pattern of Li2Ag5Pd3 was computed for copper Kα.
Lines closer than 0.1° are merged.

Structure:
abc: 7.4422 7.4422 8.7729
angles: 108.70 108.70 21.74
Atoms (fractional coordinates):
Li (0.1788, 0.1788, 0.1176)
Li (0.8212, 0.8212, 0.8824)
Ag (0.2052, 0.2052, 0.6044)
Ag (0.3894, 0.3894, 0.2044)
Ag (0.5000, 0.5000, 0.0000)
Ag (0.6106, 0.6106, 0.7956)
Ag (0.7948, 0.7948, 0.3956)
Pd (0.0000, 0.0000, 0.5000)
Pd (0.4041, 0.4041, 0.6808)
Pd (0.5959, 0.5959, 0.3192)

Main lines, low angle first (2θ from 15° to 90°):
2θ (°), I (rel.)
33.7, 20
38.0, 100
39.0, 46
41.2, 37
44.8, 23
46.1, 30

# 4
Starting from a structure optimized by DFT (PBE), the X-ray diffraction stick pattern of Li2Ag2Pd was computed for copper Kα.
Lines closer than 0.1° are merged.

Structure:
abc: 8.5926 7.4174 5.5328
angles: 90.00 90.02 90.00
Atoms (fractional coordinates):
Li (0.1136, 0.0950, 0.2527)
Li (0.1136, 0.4050, 0.7527)
Li (0.3510, 0.5655, 0.2499)
Li (0.3510, 0.9345, 0.7499)
Li (0.6490, 0.0655, 0.2501)
Li (0.6490, 0.4345, 0.7501)
Li (0.8864, 0.5950, 0.2473)
Li (0.8864, 0.9050, 0.7473)
Ag (0.1257, 0.7488, 0.5000)
Ag (0.1257, 0.7512, 0.0000)
Ag (0.3769, 0.2495, 0.0002)
Ag (0.3769, 0.2505, 0.5002)
Ag (0.6231, 0.7505, 0.9998)
Ag (0.6231, 0.7495, 0.4998)
Ag (0.8743, 0.2488, 0.0000)
Ag (0.8743, 0.2512, 0.5000)
Pd (0.3722, 0.5802, 0.7509)
Pd (0.3722, 0.9198, 0.2509)
Pd (0.6278, 0.0802, 0.7491)
Pd (0.6278, 0.4198, 0.2491)

Main lines, low angle first (2θ from 15° to 90°):
2θ (°), I (rel.)
24.0, 70
29.0, 23
40.7, 100
42.1, 23
42.2, 44
60.0, 21

# 5
Starting from a structure optimized by DFT (PBE), the X-ray diffraction stick pattern of Li8Ag6Pd was computed for copper Kα.
Lines closer than 0.1° are merged.

Structure:
abc: 6.5759 6.5759 6.5759
angles: 79.55 79.55 79.55
Atoms (fractional coordinates):
Li (0.1211, 0.1211, 0.1211)
Li (0.2161, 0.2195, 0.5669)
Li (0.2195, 0.5669, 0.2161)
Li (0.4331, 0.7839, 0.7805)
Li (0.5669, 0.2161, 0.2195)
Li (0.7805, 0.4331, 0.7839)
Li (0.7839, 0.7805, 0.4331)
Li (0.8789, 0.8789, 0.8789)
Ag (0.1638, 0.5012, 0.8347)
Ag (0.1653, 0.8362, 0.4988)
Ag (0.4988, 0.1653, 0.8362)
Ag (0.5012, 0.8347, 0.1638)
Ag (0.8347, 0.1638, 0.5012)
Ag (0.8362, 0.4988, 0.1653)
Pd (0.5000, 0.5000, 0.5000)

Main lines, low angle first (2θ from 15° to 90°):
2θ (°), I (rel.)
20.0, 100
21.1, 22
29.3, 20
37.0, 65
42.4, 94
56.2, 36

# 6
Starting from a structure optimized by DFT (PBE), the X-ray diffraction stick pattern of Li6AgPd was computed for copper Kα.
Lines closer than 0.1° are merged.

Structure:
abc: 4.5689 5.6711 5.6711
angles: 60.07 90.00 90.00
Atoms (fractional coordinates):
Li (0.0000, 0.0000, 0.0000)
Li (0.0000, 0.0003, 0.4706)
Li (0.0000, 0.4706, 0.0003)
Li (0.5000, 0.1646, 0.6539)
Li (0.5000, 0.6539, 0.1646)
Li (0.5000, 0.6539, 0.6539)
Ag (0.0000, 0.4903, 0.4903)
Pd (0.5000, 0.1573, 0.1573)

Main lines, low angle first (2θ from 15° to 90°):
2θ (°), I (rel.)
18.1, 44
26.6, 100
31.5, 43
41.7, 42
51.4, 21
53.2, 29

# 7
Starting from a structure optimized by DFT (PBE), the X-ray diffraction stick pattern of Li4Ag5Pd3 was computed for copper Kα.
Lines closer than 0.1° are merged.

Structure:
abc: 5.3927 5.3927 9.3788
angles: 107.87 107.87 54.73
Atoms (fractional coordinates):
Li (0.1161, 0.1161, 0.2818)
Li (0.2208, 0.2208, 0.9190)
Li (0.7792, 0.7792, 0.0810)
Li (0.8839, 0.8839, 0.7182)
Ag (0.1293, 0.1293, 0.6284)
Ag (0.3684, 0.3684, 0.5294)
Ag (0.5000, 0.5000, 0.0000)
Ag (0.6316, 0.6316, 0.4706)
Ag (0.8707, 0.8707, 0.3716)
Pd (0.0000, 0.0000, 0.0000)
Pd (0.3698, 0.3698, 0.2188)
Pd (0.6302, 0.6302, 0.7812)

Main lines, low angle first (2θ from 15° to 90°):
2θ (°), I (rel.)
25.2, 100
36.2, 100
37.7, 42
39.2, 85
39.9, 83
44.6, 42

# 8
Starting from a structure optimized by DFT (PBE), the X-ray diffraction stick pattern of Li5Ag2Pd was computed for copper Kα.
Lines closer than 0.1° are merged.

Structure:
abc: 7.0452 7.0452 7.0452
angles: 143.53 143.53 52.52
Atoms (fractional coordinates):
Li (0.0000, 0.0000, 0.0000)
Li (0.1226, 0.6226, 0.5000)
Li (0.3774, 0.8774, 0.5000)
Li (0.6226, 0.1226, 0.5000)
Li (0.8774, 0.3774, 0.5000)
Ag (0.2554, 0.2554, 0.0000)
Ag (0.7446, 0.7446, 0.0000)
Pd (0.5000, 0.5000, 0.0000)

Main lines, low angle first (2θ from 15° to 90°):
2θ (°), I (rel.)
21.3, 51
28.2, 51
28.6, 100
40.7, 96
40.9, 48
50.5, 39

# 9
Starting from a structure optimized by DFT (PBE), the X-ray diffraction stick pattern of Li7AgPd2 was computed for copper Kα.
Lines closer than 0.1° are merged.

Structure:
abc: 4.3535 4.3535 9.5546
angles: 90.00 90.00 120.00
Atoms (fractional coordinates):
Li (0.0000, 0.0000, 0.0000)
Li (0.0000, 0.0000, 0.2441)
Li (0.0000, 0.0000, 0.7515)
Li (0.3333, 0.6667, 0.4581)
Li (0.3333, 0.6667, 0.8373)
Li (0.6667, 0.3333, 0.3210)
Li (0.6667, 0.3333, 0.6265)
Ag (0.3333, 0.6667, 0.1238)
Pd (0.0000, 0.0000, 0.4964)
Pd (0.6667, 0.3333, 0.9424)

Main lines, low angle first (2θ from 15° to 90°):
2θ (°), I (rel.)
18.6, 27
25.4, 100
30.2, 44
36.9, 40
41.5, 38
44.9, 24

# 10
Starting from a structure optimized by DFT (PBE), the X-ray diffraction stick pattern of LiAg9Pd4 was computed for copper Kα.
Lines closer than 0.1° are merged.

Structure:
abc: 8.0756 8.0756 8.6002
angles: 90.00 90.00 120.00
Atoms (fractional coordinates):
Li (0.3333, 0.6667, 0.2500)
Li (0.6667, 0.3333, 0.7500)
Ag (0.0717, 0.5358, 0.7500)
Ag (0.2036, 0.4072, 0.0450)
Ag (0.2036, 0.4072, 0.4550)
Ag (0.2036, 0.7964, 0.0450)
Ag (0.2036, 0.7964, 0.4550)
Ag (0.4072, 0.2036, 0.5450)
Ag (0.4072, 0.2036, 0.9550)
Ag (0.4642, 0.5358, 0.7500)
Ag (0.4642, 0.9283, 0.7500)
Ag (0.5358, 0.0717, 0.2500)
Ag (0.5358, 0.4642, 0.2500)
Ag (0.5928, 0.7964, 0.0450)
Ag (0.5928, 0.7964, 0.4550)
Ag (0.7964, 0.2036, 0.5450)
Ag (0.7964, 0.2036, 0.9550)
Ag (0.7964, 0.5928, 0.5450)
Ag (0.7964, 0.5928, 0.9550)
Ag (0.9283, 0.4642, 0.2500)
Pd (0.0000, 0.0000, 0.0000)
Pd (0.0000, 0.0000, 0.5000)
Pd (0.1130, 0.2260, 0.7500)
Pd (0.1130, 0.8870, 0.7500)
Pd (0.2260, 0.1130, 0.2500)
Pd (0.7740, 0.8870, 0.7500)
Pd (0.8870, 0.1130, 0.2500)
Pd (0.8870, 0.7740, 0.2500)

Main lines, low angle first (2θ from 15° to 90°):
2θ (°), I (rel.)
33.0, 15
33.8, 16
40.1, 100
40.7, 20
66.8, 15
67.7, 17

# 11
Starting from a structure optimized by DFT (PBE), the X-ray diffraction stick pattern of Li3Ag4Pd was computed for copper Kα.
Lines closer than 0.1° are merged.

Structure:
abc: 9.1804 5.9866 4.7350
angles: 90.00 90.00 90.00
Atoms (fractional coordinates):
Li (0.0000, 0.0000, 0.0000)
Li (0.2500, 0.0000, 0.3842)
Li (0.2500, 0.5000, 0.3649)
Li (0.5000, 0.0000, 0.0000)
Li (0.7500, 0.0000, 0.6158)
Li (0.7500, 0.5000, 0.6351)
Ag (0.0000, 0.2463, 0.5000)
Ag (0.0000, 0.7537, 0.5000)
Ag (0.2500, 0.2462, 0.8784)
Ag (0.2500, 0.7538, 0.8784)
Ag (0.5000, 0.2463, 0.5000)
Ag (0.5000, 0.7537, 0.5000)
Ag (0.7500, 0.2462, 0.1216)
Ag (0.7500, 0.7538, 0.1216)
Pd (0.0000, 0.5000, 0.0000)
Pd (0.5000, 0.5000, 0.0000)

Main lines, low angle first (2θ from 15° to 90°):
2θ (°), I (rel.)
21.1, 24
27.1, 42
29.8, 24
39.3, 47
40.7, 100
50.1, 20

# 12
Starting from a structure optimized by DFT (PBE), the X-ray diffraction stick pattern of LiAg3Pd5 was computed for copper Kα.
Lines closer than 0.1° are merged.

Structure:
abc: 7.7062 7.7062 7.7062
angles: 123.52 123.52 84.01
Atoms (fractional coordinates):
Li (0.2500, 0.7500, 0.5000)
Li (0.7500, 0.2500, 0.5000)
Ag (0.1217, 0.6217, 0.7434)
Ag (0.2500, 0.2500, 0.0000)
Ag (0.3783, 0.1217, 0.5000)
Ag (0.6217, 0.8783, 0.5000)
Ag (0.7500, 0.7500, 0.0000)
Ag (0.8783, 0.3783, 0.2566)
Pd (0.0000, 0.0000, 0.0000)
Pd (0.0451, 0.1652, 0.5000)
Pd (0.1652, 0.6652, 0.1201)
Pd (0.3348, 0.4549, 0.5000)
Pd (0.4549, 0.9549, 0.1201)
Pd (0.5000, 0.5000, 0.0000)
Pd (0.5451, 0.0451, 0.8799)
Pd (0.6652, 0.5451, 0.5000)
Pd (0.8348, 0.3348, 0.8799)
Pd (0.9549, 0.8348, 0.5000)

Main lines, low angle first (2θ from 15° to 90°):
2θ (°), I (rel.)
34.8, 35
36.2, 100
39.1, 53
40.0, 59
45.5, 19
57.4, 19